(1)
For Na3Ni2P2C2O14, a structure optimized by DFT (PBE+U) gives the computed PXRD pattern in this record (copper Kα).
No peak broadening, texture or thermal motion is included.

Structural model:
```
Na3Ni2P2C2O14
1.0
8.311 0.000 0.000
-1.869 8.106 0.000
-3.081 -3.884 8.938
Na Ni P C O
6 4 4 4 28
Cartesian
0.000 0.000 0.000
-3.306 6.149 4.490
-0.857 4.127 4.414
0.909 5.819 0.056
1.972 1.916 4.363
2.735 -1.941 8.901
-1.297 0.908 3.605
3.052 1.135 0.854
1.955 4.981 3.573
6.249 5.171 0.845
0.299 2.862 1.541
1.469 -0.885 2.867
3.537 6.970 1.572
4.712 3.200 2.894
-0.949 1.211 6.037
-0.248 -3.115 7.337
2.193 5.262 6.029
2.951 0.961 7.342
-0.702 1.693 1.864
-0.424 3.928 0.682
-1.687 0.274 5.540
-0.868 6.635 1.509
-2.269 4.833 6.098
0.279 -0.417 3.745
-2.708 4.236 8.226
1.420 2.299 0.643
-0.357 1.951 5.130
-0.815 1.413 7.263
0.821 3.444 2.878
0.298 6.142 3.723
0.492 -2.195 7.856
2.393 0.330 2.551
2.567 5.792 1.883
1.447 4.344 5.490
4.689 -0.091 0.680
4.262 2.546 1.581
2.828 0.787 6.109
3.524 3.670 3.771
2.358 0.214 8.223
4.663 -2.098 5.154
4.731 6.517 0.691
4.191 -2.694 7.271
5.900 -0.557 2.910
3.680 1.904 7.866
5.506 2.239 3.818
5.640 4.428 2.583
```

Top 10 peaks for 2θ = 15–90°, in order of falling intensity:
5.260 Å, I = 100.0; 3.253 Å, I = 93.1; 3.424 Å, I = 69.3; 4.050 Å, I = 57.0; 2.588 Å, I = 52.1; 2.628 Å, I = 49.2; 4.432 Å, I = 47.2; 2.378 Å, I = 38.8; 3.663 Å, I = 34.9; 2.642 Å, I = 34.2


(2)
For MgMn6O4F8, a structure optimized by DFT (PBE+U) gives the computed PXRD pattern in this record (copper Kα).
No peak broadening, texture or thermal motion is included.

Structural model:
```
MgMn6O4F8
1.0
5.486 0.000 0.000
0.544 6.046 0.000
1.449 0.849 8.012
Mg Mn O F
1 6 4 8
Cartesian
0.000 0.000 0.000
0.280 2.991 0.015
1.450 5.470 5.164
3.441 2.359 5.301
3.295 6.044 0.143
4.602 4.362 2.891
5.819 1.324 2.905
2.837 2.173 7.261
4.754 2.583 3.764
4.712 4.673 0.921
5.554 5.849 3.715
1.191 2.772 1.886
1.824 6.055 1.652
1.962 1.117 4.381
2.989 5.420 7.196
2.939 4.265 4.378
4.438 1.419 0.892
5.546 0.888 6.528
6.133 3.984 6.318
```

Top 10 peaks for 2θ = 15–90°, in order of falling intensity:
4.042 Å, I = 100.0; 3.421 Å, I = 77.2; 2.434 Å, I = 37.9; 2.721 Å, I = 34.2; 2.079 Å, I = 33.5; 5.386 Å, I = 31.3; 2.864 Å, I = 29.3; 1.921 Å, I = 28.7; 2.536 Å, I = 22.5; 4.865 Å, I = 21.4


(3)
For Sr2CoSbO6, a structure optimized by DFT (PBE+U) gives the computed PXRD pattern in this record (copper Kα).
No peak broadening, texture or thermal motion is included.

Structural model:
```
Sr2CoSbO6
1.0
5.753 0.000 0.000
0.000 5.709 0.000
-5.664 0.000 7.804
Sr Co Sb O
4 2 2 12
Cartesian
0.012 0.034 1.946
-2.820 2.820 5.848
2.909 2.888 1.955
0.077 5.675 5.857
2.876 0.000 0.000
0.044 2.854 3.902
-2.832 0.000 3.902
0.000 2.854 0.000
-4.315 1.403 7.570
-1.483 1.452 3.668
-4.218 4.211 7.574
-1.386 4.352 3.672
-2.499 0.021 5.907
0.333 2.834 2.005
-0.244 2.875 5.798
2.588 5.688 1.897
1.474 1.356 4.131
4.306 1.498 0.229
1.572 4.257 4.135
4.404 4.306 0.234
```

Top 10 peaks for 2θ = 15–90°, in order of falling intensity:
2.822 Å, I = 100.0; 2.799 Å, I = 96.0; 2.026 Å, I = 68.9; 2.854 Å, I = 50.5; 2.876 Å, I = 49.3; 1.641 Å, I = 40.3; 1.951 Å, I = 29.3; 1.654 Å, I = 21.8; 1.611 Å, I = 19.8; 1.637 Å, I = 19.5


(4)
For NiH12C4O10, a structure optimized by DFT (PBE+U) gives the computed PXRD pattern in this record (copper Kα).
No peak broadening, texture or thermal motion is included.

Structural model:
```
NiH12C4O10
1.0
10.009 0.000 0.000
0.000 12.370 0.000
-0.107 0.000 5.823
Ni H C O
2 24 8 20
Cartesian
0.000 0.000 0.000
-0.053 6.185 2.911
0.812 0.982 1.941
0.759 5.203 4.852
1.938 0.034 1.405
1.885 6.151 4.316
2.329 2.323 5.707
2.382 3.862 2.796
2.756 8.851 3.384
2.809 9.704 0.473
3.447 2.952 0.882
3.394 3.233 3.794
4.265 8.616 3.186
4.319 9.939 0.275
5.583 2.431 5.548
5.637 3.754 2.637
6.508 9.137 2.029
6.455 9.418 4.941
7.093 2.666 5.350
7.146 3.519 2.438
7.520 8.508 3.027
7.573 10.047 0.116
8.017 6.219 1.506
7.964 12.336 4.418
9.144 7.167 0.971
9.090 11.388 3.882
3.283 0.149 3.855
3.336 6.036 0.943
4.387 0.044 3.217
4.441 6.141 0.306
5.461 6.229 5.517
5.515 12.326 2.606
6.566 6.334 4.880
6.619 12.221 1.968
0.021 1.684 5.801
0.075 4.501 2.890
0.996 0.050 1.677
0.943 6.135 4.588
2.238 0.281 4.403
2.292 5.904 1.492
3.229 2.711 5.760
3.283 3.474 2.849
3.398 8.441 2.775
3.345 10.114 5.686
6.557 2.256 0.137
6.504 3.929 3.048
6.619 8.896 2.974
6.673 9.659 0.063
7.610 6.466 4.331
7.664 12.089 1.420
8.959 6.235 1.235
8.906 12.320 4.146
9.828 7.869 2.933
9.881 10.686 0.021
```

Top 10 peaks for 2θ = 15–90°, in order of falling intensity:
5.264 Å, I = 100.0; 4.630 Å, I = 90.2; 2.840 Å, I = 41.6; 3.658 Å, I = 41.0; 3.336 Å, I = 29.3; 3.093 Å, I = 27.6; 3.180 Å, I = 26.4; 2.315 Å, I = 24.6; 4.694 Å, I = 23.3; 3.890 Å, I = 18.6


(5)
For MgMn2O4, a structure optimized by DFT (PBE+U) gives the computed PXRD pattern in this record (copper Kα).
No peak broadening, texture or thermal motion is included.

Structural model:
```
MgMn2O4
1.0
3.039 1.754 4.930
-3.039 1.754 4.930
0.000 -3.509 4.930
Mg Mn O
2 4 8
Cartesian
0.000 0.000 0.000
0.000 0.000 5.651
0.000 -1.764 8.125
-1.528 0.882 8.125
0.000 0.000 11.289
1.528 0.882 8.125
0.000 0.000 2.005
0.000 -1.592 4.280
-1.379 0.796 4.280
-1.360 -0.785 7.051
1.379 0.796 4.280
1.360 -0.785 7.051
0.000 1.571 7.051
0.000 0.000 9.276
```

Top 10 peaks for 2θ = 15–90°, in order of falling intensity:
2.589 Å, I = 100.0; 2.144 Å, I = 39.8; 4.930 Å, I = 32.8; 1.519 Å, I = 31.8; 1.513 Å, I = 29.8; 1.652 Å, I = 29.5; 3.025 Å, I = 26.6; 2.579 Å, I = 22.5; 1.647 Å, I = 15.1; 4.958 Å, I = 11.7


(6)
For Mn3F10, a structure optimized by DFT (PBE+U) gives the computed PXRD pattern in this record (copper Kα).
No peak broadening, texture or thermal motion is included.

Structural model:
```
Mn3F10
1.0
6.278 0.000 0.000
-0.273 7.668 0.000
-3.100 -3.582 8.469
Mn F
6 20
Cartesian
-0.145 3.119 1.379
0.016 -1.185 3.197
-1.747 4.037 8.445
4.651 0.049 0.024
2.888 5.271 5.272
3.049 0.967 7.090
-1.550 -1.791 4.235
-0.154 1.379 0.431
-1.896 1.551 6.116
-1.940 4.696 6.711
-0.187 4.780 2.188
1.072 3.844 0.010
-0.026 0.405 3.933
1.456 -0.584 1.756
1.199 2.567 2.349
1.589 -1.791 4.235
2.953 1.228 0.373
-0.049 2.858 8.096
1.705 1.519 6.121
1.448 4.670 6.713
2.931 3.681 4.536
1.832 0.242 8.459
3.092 -0.694 6.282
4.844 -0.610 1.759
4.801 2.534 2.353
3.058 2.707 8.039
```

Top 10 peaks for 2θ = 15–90°, in order of falling intensity:
3.531 Å, I = 100.0; 5.903 Å, I = 80.3; 5.863 Å, I = 79.0; 4.219 Å, I = 53.0; 4.483 Å, I = 48.2; 4.176 Å, I = 31.7; 1.765 Å, I = 31.0; 3.151 Å, I = 26.0; 3.065 Å, I = 24.9; 2.187 Å, I = 24.2


(7)
For Li2VF5, a structure optimized by DFT (PBE+U) gives the computed PXRD pattern in this record (copper Kα).
No peak broadening, texture or thermal motion is included.

Structural model:
```
Li2VF5
1.0
9.124 0.000 0.000
0.000 6.324 0.000
0.000 0.000 6.165
Li V F
8 4 20
Cartesian
1.540 0.175 0.298
1.540 2.988 0.298
3.022 3.337 3.381
3.022 6.150 3.381
6.102 0.175 2.784
6.102 2.988 2.784
7.584 3.337 5.867
7.584 6.150 5.867
0.149 1.581 3.480
4.413 4.743 0.397
4.711 1.581 5.768
8.975 4.743 2.686
0.464 1.581 5.499
0.600 0.225 2.013
0.600 2.937 2.013
1.654 4.743 3.566
2.163 1.581 3.598
2.399 4.743 0.515
2.908 1.581 0.484
3.962 3.387 5.096
3.962 6.100 5.096
4.098 4.743 2.416
5.026 1.581 3.749
5.161 0.225 1.070
5.161 2.937 1.070
6.216 4.743 5.682
6.724 1.581 5.650
6.961 4.743 2.568
7.470 1.581 2.599
8.524 3.387 4.152
8.524 6.100 4.152
8.660 4.743 0.667
```

Top 10 peaks for 2θ = 15–90°, in order of falling intensity:
5.108 Å, I = 100.0; 4.562 Å, I = 41.3; 3.165 Å, I = 31.9; 2.146 Å, I = 20.1; 2.395 Å, I = 20.0; 2.207 Å, I = 18.8; 4.415 Å, I = 15.6; 2.689 Å, I = 11.6; 1.850 Å, I = 11.1; 1.797 Å, I = 11.0


(8)
For MoO3, a structure optimized by DFT (PBE+U) gives the computed PXRD pattern in this record (copper Kα).
No peak broadening, texture or thermal motion is included.

Structural model:
```
MoO3
1.0
7.287 0.000 0.000
0.000 5.475 0.000
-0.059 0.000 5.655
Mo O
4 12
Cartesian
0.000 1.343 0.000
-0.029 4.132 2.828
3.636 1.377 0.883
3.607 4.099 3.710
0.283 0.098 1.849
0.254 5.377 4.677
1.805 1.799 0.411
1.776 3.676 3.239
3.301 0.087 2.046
3.271 5.388 4.873
3.891 2.728 4.790
3.920 2.748 1.962
5.454 0.951 0.487
5.425 4.524 3.315
6.918 2.546 4.401
6.948 2.929 1.574
```

Top 10 peaks for 2θ = 15–90°, in order of falling intensity:
3.934 Å, I = 100.0; 3.643 Å, I = 49.1; 1.736 Å, I = 20.6; 2.683 Å, I = 18.2; 2.663 Å, I = 16.9; 3.472 Å, I = 16.1; 3.451 Å, I = 15.8; 1.727 Å, I = 12.7; 1.967 Å, I = 11.3; 2.738 Å, I = 10.4


(9)
For LiFeCo2O6, a structure optimized by DFT (PBE+U) gives the computed PXRD pattern in this record (copper Kα).
No peak broadening, texture or thermal motion is included.

Structural model:
```
LiFeCo2O6
1.0
6.382 -1.440 0.000
6.382 1.440 0.000
-1.569 0.000 5.731
Li Fe Co O
1 1 2 6
Cartesian
0.000 0.000 0.000
-0.785 0.000 2.865
3.926 0.000 0.977
7.269 0.000 4.754
1.101 0.000 3.567
2.190 0.000 0.249
5.763 0.000 1.443
5.431 0.000 4.288
9.005 0.000 5.482
10.094 0.000 2.163
```

Top 10 peaks for 2θ = 15–90°, in order of falling intensity:
4.887 Å, I = 100.0; 2.068 Å, I = 32.5; 2.461 Å, I = 21.2; 2.052 Å, I = 15.6; 1.440 Å, I = 13.0; 2.455 Å, I = 10.6; 1.608 Å, I = 9.8; 1.473 Å, I = 7.8; 1.895 Å, I = 5.8; 2.358 Å, I = 5.6